Record 1
Simulated XRD peak list
Compound: YTa3
Radiation: copper Kα
Structure: a crystal structure in Alexandria, relaxed with PBE
Intensities are scaled so that the largest is 100.

Crystal structure
a b c (Å): 6.110 6.110 4.799
angles (deg): 90.00 90.00 108.07
Fractional coordinates of all 8 atoms:
Y (0.124, 0.876, 0.750)
Y (0.876, 0.124, 0.250)
Ta (0.184, 0.404, 0.750)
Ta (0.371, 0.629, 0.250)
Ta (0.404, 0.184, 0.250)
Ta (0.596, 0.816, 0.750)
Ta (0.629, 0.371, 0.750)
Ta (0.816, 0.596, 0.250)

The 8 most intense peaks (2θ = 10–80°), low angle first:
d_spacing, 2θ/deg, I (rel.)
5.808, 15.3, 22
2.485, 36.2, 100
2.473, 36.3, 28
2.399, 37.5, 28
1.795, 50.9, 15
1.722, 53.2, 19
1.430, 65.3, 15
1.401, 66.8, 17

Record 2
Simulated XRD peak list
Compound: Y3Ta
Radiation: copper Kα
Structure: a crystal structure in Alexandria, relaxed with PBE
Intensities are scaled so that the largest is 100.

Crystal structure
a b c (Å): 6.405 6.405 6.405
angles (deg): 149.33 64.91 124.33
Fractional coordinates of all 4 atoms:
Y (0.000, 0.000, 0.000)
Y (0.410, 0.645, 0.765)
Y (0.880, 0.645, 0.235)
Ta (0.471, 0.971, 0.500)

The 8 most intense peaks (2θ = 10–80°), low angle first:
d_spacing, 2θ/deg, I (rel.)
5.233, 16.9, 17
2.947, 30.3, 26
2.702, 33.2, 35
2.617, 34.3, 49
2.588, 34.7, 100
1.718, 53.3, 18
1.537, 60.2, 18
1.450, 64.2, 20

Record 3
Simulated XRD peak list
Compound: Y3Ta
Radiation: copper Kα
Structure: a crystal structure in Alexandria, relaxed with PBE
Intensities are scaled so that the largest is 100.

Crystal structure
a b c (Å): 11.447 11.447 11.447
angles (deg): 16.84 16.84 16.84
Fractional coordinates of all 4 atoms:
Y (0.000, 0.000, 0.000)
Y (0.241, 0.241, 0.241)
Y (0.759, 0.759, 0.759)
Ta (0.500, 0.500, 0.500)

The 8 most intense peaks (2θ = 10–80°), low angle first:
d_spacing, 2θ/deg, I (rel.)
2.821, 31.7, 31
2.746, 32.6, 100
2.393, 37.6, 64
1.710, 53.6, 18
1.676, 54.8, 23
1.441, 64.7, 23
1.430, 65.2, 13
1.373, 68.3, 11

Record 4
Simulated XRD peak list
Compound: Y3Ta
Radiation: copper Kα
Structure: a crystal structure in Alexandria, relaxed with PBE
Intensities are scaled so that the largest is 100.

Crystal structure
a b c (Å): 5.817 5.817 5.817
angles (deg): 131.43 131.43 71.13
Fractional coordinates of all 4 atoms:
Y (0.000, 0.000, 0.000)
Y (0.250, 0.750, 0.500)
Y (0.750, 0.250, 0.500)
Ta (0.500, 0.500, 0.000)

The 8 most intense peaks (2θ = 10–80°), low angle first:
d_spacing, 2θ/deg, I (rel.)
2.752, 32.5, 100
2.393, 37.6, 34
2.366, 38.0, 16
1.692, 54.2, 12
1.682, 54.5, 23
1.441, 64.7, 27
1.430, 65.3, 13
1.376, 68.1, 11